(1)
Structure and theoretical X-ray powder pattern of La4InPd (DFT lattice parameters and positions (GGA-PBE); a wavelength of 1.5418 Å).
Intensities are scaled so that the largest is 1000.

Principal peaks in the range 15 to 90 degrees two-theta, low angle first:
Position (°2θ), I (rel.)
28.85, 462
29.13, 368
29.84, 365
30.58, 720
32.49, 1000
33.06, 283
33.62, 678
34.01, 220
34.63, 366
37.34, 212

Cell and atoms:
```
data_La4InPd
_chemical_formula_sum 'La8 In2 Pd2'
_cell_length_a 8.577
_cell_length_b 8.577
_cell_length_c 6.127
_cell_angle_alpha 101.68
_cell_angle_beta 101.68
_cell_angle_gamma 116.63
_space_group_name_H-M_alt 'P 1'
_space_group_IT_number 1
loop_
_space_group_symop_operation_xyz
'x,y,z'
loop_
_atom_site_label
_atom_site_type_symbol
_atom_site_fract_x
_atom_site_fract_y
_atom_site_fract_z
_atom_site_occupancy
La1 La 0.078 0.694 0.928 1
La2 La 0.204 0.360 0.647 1
La3 La 0.306 0.922 0.572 1
La4 La 0.360 0.204 0.147 1
La5 La 0.640 0.796 0.853 1
La6 La 0.694 0.078 0.428 1
La7 La 0.796 0.640 0.353 1
La8 La 0.922 0.306 0.072 1
In1 In 0.384 0.616 0.250 1
In2 In 0.616 0.384 0.750 1
Pd1 Pd 0.004 0.996 0.250 1
Pd2 Pd 0.996 0.004 0.750 1
```

---

(2)
Structure and theoretical X-ray powder pattern of K6Rb2TlO (DFT lattice parameters and positions (GGA-PBE); a wavelength of 1.5418 Å).
Intensities are scaled so that the largest is 1000.

Principal peaks in the range 15 to 90 degrees two-theta, low angle first:
Position (°2θ), I (rel.)
18.25, 985
22.04, 421
24.11, 1000
24.94, 857
25.16, 521
29.52, 411
31.37, 649
33.30, 450
40.48, 512
46.39, 350

Cell and atoms:
```
data_K6Rb2TlO
_chemical_formula_sum 'K6 Rb2 Tl1 O1'
_cell_length_a 10.787
_cell_length_b 10.787
_cell_length_c 10.787
_cell_angle_alpha 136.09
_cell_angle_beta 136.09
_cell_angle_gamma 63.84
_space_group_name_H-M_alt 'P 1'
_space_group_IT_number 1
loop_
_space_group_symop_operation_xyz
'x,y,z'
loop_
_atom_site_label
_atom_site_type_symbol
_atom_site_fract_x
_atom_site_fract_y
_atom_site_fract_z
_atom_site_occupancy
K1 K 0.000 0.000 0.000 1
K2 K 0.108 0.108 0.561 1
K3 K 0.108 0.547 0.000 1
K4 K 0.495 0.495 0.000 1
K5 K 0.547 0.108 0.000 1
K6 K 0.547 0.547 0.439 1
Rb1 Rb 0.125 0.625 0.500 1
Rb2 Rb 0.625 0.125 0.500 1
Tl1 Tl 0.707 0.707 0.000 1
O1 O 0.358 0.358 0.000 1
```

---

(3)
Structure and theoretical X-ray powder pattern of LiAg4Cl5 (DFT lattice parameters and positions (GGA-PBE); a wavelength of 1.5418 Å).
Intensities are scaled so that the largest is 1000.

Principal peaks in the range 15 to 90 degrees two-theta, low angle first:
Position (°2θ), I (rel.)
24.46, 812
25.77, 405
27.70, 1000
35.82, 297
43.05, 628
44.33, 230
46.64, 444
50.85, 350
51.96, 171
81.48, 162

Cell and atoms:
```
data_LiAg4Cl5
_chemical_formula_sum 'Li2 Ag8 Cl10'
_cell_length_a 4.203
_cell_length_b 4.203
_cell_length_c 34.573
_cell_angle_alpha 90.00
_cell_angle_beta 90.00
_cell_angle_gamma 120.00
_space_group_name_H-M_alt 'P 1'
_space_group_IT_number 1
loop_
_space_group_symop_operation_xyz
'x,y,z'
loop_
_atom_site_label
_atom_site_type_symbol
_atom_site_fract_x
_atom_site_fract_y
_atom_site_fract_z
_atom_site_occupancy
Li1 Li 0.000 0.000 0.000 1
Li2 Li 0.000 0.000 0.190 1
Ag1 Ag 0.000 0.000 0.387 1
Ag2 Ag 0.000 0.000 0.593 1
Ag3 Ag 0.000 0.000 0.800 1
Ag4 Ag 0.333 0.667 0.092 1
Ag5 Ag 0.333 0.667 0.282 1
Ag6 Ag 0.333 0.667 0.490 1
Ag7 Ag 0.333 0.667 0.697 1
Ag8 Ag 0.333 0.667 0.904 1
Cl1 Cl 0.000 0.000 0.121 1
Cl2 Cl 0.000 0.000 0.311 1
Cl3 Cl 0.000 0.000 0.518 1
Cl4 Cl 0.000 0.000 0.725 1
Cl5 Cl 0.000 0.000 0.931 1
Cl6 Cl 0.333 0.667 0.017 1
Cl7 Cl 0.333 0.667 0.208 1
Cl8 Cl 0.333 0.667 0.415 1
Cl9 Cl 0.333 0.667 0.622 1
Cl10 Cl 0.333 0.667 0.828 1
```